(1)
Diffraction record for NaLiCO3. The X-ray diffraction stick pattern is computed, not measured: it uses a cell relaxed with GGA-PBE and Cu Kα, 1.54184 Å.
Peak positions follow from Bragg's law for the DFT cell and can differ from measured ones.

Structure:
```
data_NaLiCO3
_space_group_name_H-M_alt 'P -6'
_space_group_IT_number 174
_cell_length_a 14.5184
_cell_length_b 14.5184
_cell_length_c 3.3622
_cell_angle_alpha 90.00
_cell_angle_beta 90.00
_cell_angle_gamma 120.00
loop_
_space_group_symop_operation_xyz
'x,y,z'
'-x+y,-x,-z'
'-y,x-y,z'
'x,y,-z'
'-x+y,-x,z'
'-y,x-y,-z'
loop_
_atom_site_label
_atom_site_fract_x
_atom_site_fract_y
_atom_site_fract_z
Na1 0.0776 0.8625 0.0000
Na2 0.1111 0.5731 0.0000
Na3 0.4541 0.2389 0.0000
Li1 0.2076 0.4378 0.5000
Li2 0.2305 0.0883 0.5000
Li3 0.5134 0.0968 0.5000
C1 0.0000 0.0000 0.5000
C2 0.0143 0.3349 0.0000
C3 0.3333 0.6667 0.5000
C4 0.3417 0.3306 0.5000
C5 0.6667 0.3333 0.5000
O1 0.0794 0.7466 0.5000
O2 0.0943 0.0839 0.5000
O3 0.1155 0.4050 0.0000
O4 0.2422 0.6637 0.5000
O5 0.2512 0.0177 0.0000
O6 0.3395 0.2398 0.5000
O7 0.4219 0.0552 0.0000
O8 0.4323 0.4191 0.5000
O9 0.5736 0.2480 0.5000
```

Largest 10 diffraction maxima, in order of falling intensity, 2θ = 10–90°:
2θ/deg  I_rel  index
29.3  100  1 1 1
34.2  64  3 0 1
21.2  42  3 0 0
36.4  32  2 2 1
37.2  26  3 3 0
32.6  24  4 1 0
54.6  23  0 0 2
51.4  21  6 0 1
43.2  20  6 0 0
42.5  18  4 1 1


(2)
Diffraction record for MnB2Pd. The X-ray diffraction stick pattern is computed, not measured: it uses a cell relaxed with GGA-PBE and Cu Kα, 1.54184 Å.
Peak positions follow from Bragg's law for the DFT cell and can differ from measured ones.

Structure:
```
data_MnB2Pd
_space_group_name_H-M_alt 'F m -3 m'
_space_group_IT_number 225
_space_group_name_Hall '-F 4 2 3'
_cell_length_a 5.287
_cell_length_b 5.287
_cell_length_c 5.287
_cell_angle_alpha 90.00
_cell_angle_beta 90.00
_cell_angle_gamma 90.00
loop_
_atom_site_label
_atom_site_fract_x
_atom_site_fract_y
_atom_site_fract_z
Mn1 0.000 0.000 0.000
B1 0.250 0.250 0.250
Pd1 0.000 0.000 0.500
```

Largest 8 diffraction maxima, in order of falling intensity, 2θ = 10–90°:
2θ/deg  I_rel  index
48.7  100  2 2 0
33.9  99  2 0 0
81.4  30  4 2 0
60.7  24  2 2 2
29.3  24  1 1 1
71.4  15  4 0 0
57.8  11  3 1 1
78.9  5  3 3 1


(3)
Diffraction record for Tl3OF2. The X-ray diffraction stick pattern is computed, not measured: it uses a cell relaxed with GGA-PBE and Cu Kα, 1.54184 Å.
Peak positions follow from Bragg's law for the DFT cell and can differ from measured ones.

Structure:
```
data_Tl3OF2
_space_group_name_H-M_alt 'C m c 21'
_space_group_IT_number 36
_cell_length_a 13.107
_cell_length_b 7.146
_cell_length_c 6.649
_cell_angle_alpha 90.00
_cell_angle_beta 90.00
_cell_angle_gamma 90.00
loop_
_space_group_symop_operation_xyz
'x,y,z'
'-x,-y,z+1/2'
'-x,y,z'
'x,-y,z+1/2'
'x+1/2,y+1/2,z'
'-x+1/2,-y+1/2,z+1/2'
'-x+1/2,y+1/2,z'
'x+1/2,-y+1/2,z+1/2'
loop_
_atom_site_label
_atom_site_fract_x
_atom_site_fract_y
_atom_site_fract_z
Tl1 0.000 0.132 0.000
Tl2 0.162 0.323 0.466
O1 0.000 0.149 0.340
F1 0.128 0.333 0.861
```

Largest 10 diffraction maxima, in order of falling intensity, 2θ = 10–90°:
2θ/deg  I_rel  index
27.4  100  3 1 1
28.4  49  0 2 1
26.8  42  0 0 2
23.9  36  3 1 0
47.7  26  3 1 3
43.3  25  3 3 0
51.6  24  3 3 2
50.9  21  6 2 1
36.2  20  3 1 2
50.0  15  6 0 2


(4)
Diffraction record for Na8B13C3. The X-ray diffraction stick pattern is computed, not measured: it uses a cell relaxed with GGA-PBE and Cu Kα, 1.54184 Å.
Peak positions follow from Bragg's law for the DFT cell and can differ from measured ones.

Structure:
```
data_Na8B13C3
_space_group_name_H-M_alt 'P m m 2'
_space_group_IT_number 25
_cell_length_a 2.788
_cell_length_b 8.692
_cell_length_c 10.683
_cell_angle_alpha 90.00
_cell_angle_beta 90.00
_cell_angle_gamma 90.00
loop_
_space_group_symop_operation_xyz
'x,y,z'
'-x,-y,z'
'-x,y,z'
'x,-y,z'
loop_
_atom_site_label
_atom_site_fract_x
_atom_site_fract_y
_atom_site_fract_z
Na1 0.000 0.248 0.000
Na2 0.000 0.251 0.503
Na3 0.500 0.249 0.751
Na4 0.500 0.251 0.252
B1 0.000 0.000 0.188
B2 0.000 0.000 0.670
B3 0.000 0.000 0.828
B4 0.000 0.500 0.165
B5 0.000 0.500 0.328
B6 0.000 0.500 0.833
B7 0.500 0.000 0.086
B8 0.500 0.000 0.407
B9 0.500 0.000 0.569
B10 0.500 0.000 0.929
B11 0.500 0.500 0.058
B12 0.500 0.500 0.436
B13 0.500 0.500 0.604
C1 0.000 0.000 0.333
C2 0.000 0.500 0.680
C3 0.500 0.500 0.911
```

Largest 10 diffraction maxima, in order of falling intensity, 2θ = 10–90°:
2θ/deg  I_rel  index
42.1  100  1 2 2
39.6  51  0 2 4
41.6  38  0 4 0
77.3  19  1 4 6
61.8  18  1 0 6
36.3  16  1 0 2
33.6  14  0 0 4
76.2  13  1 6 2
56.4  10  1 4 2
80.9  9  2 2 4


(5)
Diffraction record for La5CeIn5. The X-ray diffraction stick pattern is computed, not measured: it uses a cell relaxed with GGA-PBE and Cu Kα, 1.54184 Å.
Peak positions follow from Bragg's law for the DFT cell and can differ from measured ones.

Structure:
```
data_La5CeIn5
_space_group_name_H-M_alt 'C 1 2/m 1'
_space_group_IT_number 12
_cell_length_a 18.794
_cell_length_b 6.078
_cell_length_c 6.586
_cell_angle_alpha 90.00
_cell_angle_beta 110.32
_cell_angle_gamma 90.00
loop_
_space_group_symop_operation_xyz
'x,y,z'
'-x,-y,-z'
'-x,y,-z'
'x,-y,z'
'x+1/2,y+1/2,z'
'-x+1/2,-y+1/2,-z'
'-x+1/2,y+1/2,-z'
'x+1/2,-y+1/2,z'
loop_
_atom_site_label
_atom_site_fract_x
_atom_site_fract_y
_atom_site_fract_z
La1 0.000 0.000 0.000
La2 0.125 0.500 0.129
La3 0.186 0.500 0.689
Ce1 0.000 0.000 0.500
In1 0.000 0.500 0.500
In2 0.163 0.000 0.431
In3 0.163 0.000 0.896
```

Largest 10 diffraction maxima, in order of falling intensity, 2θ = 10–90°:
2θ/deg  I_rel  index
34.5  100  1 1 2
29.4  67  0 2 0
30.4  35  6 0 0
42.8  27  6 2 0
55.5  26  1 3 2
28.5  25  3 1 1
28.7  25  6 0 -1
41.6  18  6 2 -1
31.3  17  3 1 -2
64.4  14  4 2 -4


(6)
Diffraction record for Pr7Nd2Tm4. The X-ray diffraction stick pattern is computed, not measured: it uses a cell relaxed with GGA-PBE and Cu Kα, 1.54184 Å.
Peak positions follow from Bragg's law for the DFT cell and can differ from measured ones.

Structure:
```
data_Pr7Nd2Tm4
_space_group_name_H-M_alt 'P -3 1 m'
_space_group_IT_number 162
_space_group_name_Hall '-P 3 2'
_cell_length_a 6.2581
_cell_length_b 6.2581
_cell_length_c 13.2007
_cell_angle_alpha 90.00
_cell_angle_beta 90.00
_cell_angle_gamma 120.00
loop_
_atom_site_label
_atom_site_fract_x
_atom_site_fract_y
_atom_site_fract_z
Pr1 0.0000 0.0000 0.0000
Pr2 0.0000 0.3748 0.2285
Nd1 0.3333 0.6667 0.0000
Tm1 0.0000 0.0000 0.3927
Tm2 0.3333 0.6667 0.5000
```

Largest 10 diffraction maxima, in order of falling intensity, 2θ = 10–90°:
2θ/deg  I_rel  index
31.6  100  2 -1 2
29.3  40  1 1 1
50.5  28  3 0 0
35.2  27  1 1 3
27.0  23  0 0 4
31.7  21  1 0 4
28.5  21  1 1 0
50.7  16  2 -1 6
26.1  14  1 0 3
60.8  13  2 2 2


(7)
Diffraction record for Ce3Si. The X-ray diffraction stick pattern is computed, not measured: it uses a cell relaxed with GGA-PBE and Cu Kα, 1.54184 Å.
Peak positions follow from Bragg's law for the DFT cell and can differ from measured ones.

Structure:
```
data_Ce3Si
_space_group_name_H-M_alt 'A e a 2'
_space_group_IT_number 41
_cell_length_a 6.176
_cell_length_b 9.090
_cell_length_c 7.008
_cell_angle_alpha 90.00
_cell_angle_beta 90.00
_cell_angle_gamma 90.00
loop_
_space_group_symop_operation_xyz
'x,y,z'
'-x,-y,z'
'-x+1/2,y+1/2,z'
'x+1/2,-y+1/2,z'
'x,y+1/2,z+1/2'
'-x,-y+1/2,z+1/2'
'-x+1/2,y,z+1/2'
'x+1/2,-y,z+1/2'
loop_
_atom_site_label
_atom_site_fract_x
_atom_site_fract_y
_atom_site_fract_z
Ce1 0.000 0.000 0.000
Ce2 0.157 0.204 0.739
Si1 0.000 0.000 0.423
```

Largest 10 diffraction maxima, in order of falling intensity, 2θ = 10–90°:
2θ/deg  I_rel  index
32.3  100  0 2 2
33.2  73  2 1 1
35.4  49  1 3 1
21.5  47  1 1 1
50.0  40  2 1 3
35.1  35  2 2 0
38.9  28  2 0 2
24.3  22  1 2 0
43.8  18  2 3 1
42.6  16  1 1 3


(8)
Diffraction record for BaLaI5. The X-ray diffraction stick pattern is computed, not measured: it uses a cell relaxed with GGA-PBE and Cu Kα, 1.54184 Å.
Peak positions follow from Bragg's law for the DFT cell and can differ from measured ones.

Structure:
```
data_BaLaI5
_space_group_name_H-M_alt 'P 1'
_space_group_IT_number 1
_cell_length_a 6.494
_cell_length_b 8.068
_cell_length_c 11.657
_cell_angle_alpha 88.67
_cell_angle_beta 73.84
_cell_angle_gamma 85.32
loop_
_space_group_symop_operation_xyz
'x,y,z'
loop_
_atom_site_label
_atom_site_fract_x
_atom_site_fract_y
_atom_site_fract_z
Ba1 0.000 0.000 0.000
Ba2 0.347 0.500 0.303
La1 0.638 0.543 0.808
La2 0.794 0.044 0.494
I1 0.005 0.694 0.581
I2 0.067 0.565 0.910
I3 0.325 0.066 0.392
I4 0.441 0.899 0.723
I5 0.490 0.782 0.049
I6 0.499 0.273 0.025
I7 0.512 0.399 0.580
I8 0.872 0.775 0.278
I9 0.887 0.284 0.253
I10 0.935 0.194 0.721
```

Largest 10 diffraction maxima, in order of falling intensity, 2θ = 10–90°:
2θ/deg  I_rel  index
29.6  100  -1 2 1
28.7  45  2 0 2
32.2  41  1 2 3
25.4  39  1 2 1
32.0  36  0 0 4
31.2  35  1 0 -3
26.1  34  1 1 3
27.3  31  0 2 -2
40.7  28  1 -1 5
26.3  27  0 1 3


(9)
Diffraction record for Na3Zn3In8. The X-ray diffraction stick pattern is computed, not measured: it uses a cell relaxed with GGA-PBE and Cu Kα, 1.54184 Å.
Peak positions follow from Bragg's law for the DFT cell and can differ from measured ones.

Structure:
```
data_Na3Zn3In8
_space_group_name_H-M_alt 'I m m m'
_space_group_IT_number 71
_space_group_name_Hall '-I 2 2'
_cell_length_a 4.978
_cell_length_b 10.428
_cell_length_c 13.271
_cell_angle_alpha 90.00
_cell_angle_beta 90.00
_cell_angle_gamma 90.00
loop_
_atom_site_label
_atom_site_fract_x
_atom_site_fract_y
_atom_site_fract_z
Na1 0.000 0.000 0.000
Na2 0.000 0.000 0.276
Zn1 0.000 0.127 0.500
Zn2 0.000 0.500 0.000
In1 0.000 0.300 0.141
In2 0.000 0.357 0.371
```

Largest 10 diffraction maxima, in order of falling intensity, 2θ = 10–90°:
2θ/deg  I_rel  index
41.8  100  1 3 4
32.0  84  0 2 4
36.1  73  2 0 0
31.4  69  1 3 0
33.6  63  1 1 4
39.6  56  1 4 1
19.8  50  1 1 0
26.9  42  0 0 4
17.0  36  0 2 0
49.0  27  2 2 4


(10)
Diffraction record for La2TbNdSm5. The X-ray diffraction stick pattern is computed, not measured: it uses a cell relaxed with GGA-PBE and Cu Kα, 1.54184 Å.
Peak positions follow from Bragg's law for the DFT cell and can differ from measured ones.

Structure:
```
data_La2TbNdSm5
_space_group_name_H-M_alt 'I 4/m c m'
_space_group_IT_number 140
_space_group_name_Hall '-I 4 2c'
_cell_length_a 8.773
_cell_length_b 8.773
_cell_length_c 16.201
_cell_angle_alpha 90.00
_cell_angle_beta 90.00
_cell_angle_gamma 90.00
loop_
_atom_site_label
_atom_site_fract_x
_atom_site_fract_y
_atom_site_fract_z
La1 0.119 0.381 0.000
Tb1 0.000 0.500 0.250
Nd1 0.000 0.000 0.250
Sm1 0.000 0.000 0.000
Sm2 0.216 0.284 0.358
```

Largest 10 diffraction maxima, in order of falling intensity, 2θ = 10–90°:
2θ/deg  I_rel  index
30.0  100  2 0 4
28.8  53  2 2 0
28.1  40  2 1 3
51.8  27  4 2 4
37.4  14  3 2 1
54.1  13  2 2 8
44.8  11  0 0 8
34.2  11  3 1 2
64.9  11  2 2 10
39.2  11  2 0 6


(11)
Diffraction record for Cu2Hg2Se3. The X-ray diffraction stick pattern is computed, not measured: it uses a cell relaxed with GGA-PBE and Cu Kα, 1.54184 Å.
Peak positions follow from Bragg's law for the DFT cell and can differ from measured ones.

Structure:
```
data_Cu2Hg2Se3
_space_group_name_H-M_alt 'P 1 21/c 1'
_space_group_IT_number 14
_cell_length_a 7.801
_cell_length_b 6.700
_cell_length_c 6.911
_cell_angle_alpha 90.00
_cell_angle_beta 115.20
_cell_angle_gamma 90.00
loop_
_space_group_symop_operation_xyz
'x,y,z'
'-x,-y,-z'
'-x,y+1/2,-z+1/2'
'x,-y+1/2,z+1/2'
loop_
_atom_site_label
_atom_site_fract_x
_atom_site_fract_y
_atom_site_fract_z
Cu1 0.169 0.070 0.216
Hg1 0.316 0.666 0.243
Se1 0.120 0.107 0.843
Se2 0.500 0.000 0.500
```

Largest 10 diffraction maxima, in order of falling intensity, 2θ = 10–90°:
2θ/deg  I_rel  index
28.6  100  0 0 2
29.0  40  2 0 -2
26.3  37  1 1 1
18.3  37  1 1 0
30.3  31  0 2 1
35.5  30  2 2 -1
32.0  30  2 1 -2
43.1  28  1 3 -1
49.2  25  4 1 -1
36.7  25  3 0 -2


(12)
Diffraction record for Pa3Tl2Te8. The X-ray diffraction stick pattern is computed, not measured: it uses a cell relaxed with GGA-PBE and Cu Kα, 1.54184 Å.
Peak positions follow from Bragg's law for the DFT cell and can differ from measured ones.

Structure:
```
data_Pa3Tl2Te8
_space_group_name_H-M_alt 'C m m m'
_space_group_IT_number 65
_space_group_name_Hall '-C 2 2'
_cell_length_a 10.758
_cell_length_b 16.612
_cell_length_c 5.236
_cell_angle_alpha 90.00
_cell_angle_beta 90.00
_cell_angle_gamma 90.00
loop_
_atom_site_label
_atom_site_fract_x
_atom_site_fract_y
_atom_site_fract_z
Pa1 0.000 0.000 0.000
Pa2 0.222 0.500 0.500
Tl1 0.000 0.258 0.000
Te1 0.000 0.103 0.500
Te2 0.000 0.386 0.500
Te3 0.240 0.107 0.000
```

Largest 10 diffraction maxima, in order of falling intensity, 2θ = 10–90°:
2θ/deg  I_rel  index
32.2  100  2 4 1
34.3  24  0 0 2
19.6  24  2 2 0
33.3  23  4 0 0
10.7  21  0 2 0
48.5  19  4 0 2
60.0  17  2 4 3
20.0  16  0 2 1
58.8  14  6 4 1
40.5  11  2 6 1